For AcTe3Au2, DFT lattice parameters and positions (GGA-PBE) gives the simulated powder diffraction line list in this record (Cu Ka).
Kinematic intensities with the Lorentz-polarization factor, no thermal factor.

Peak list (10 most intense, 2θ from 15° to 90°, by intensity)
- hkl 1 1 2, 34.1 deg, intensity 100
- hkl 3 1 0, 22.4 deg, intensity 70
- hkl 7 1 -1, 32.4 deg, intensity 47
- hkl 0 2 0, 39.6 deg, intensity 39
- hkl 6 0 0, 21.7 deg, intensity 23
- hkl 9 1 0, 38.5 deg, intensity 21
- hkl 2 0 -2, 25.7 deg, intensity 18
- hkl 8 0 -1, 28.9 deg, intensity 17
- hkl 1 3 2, 68.4 deg, intensity 16
- hkl 8 0 1, 35.0 deg, intensity 15

Crystal structure
a = 25.318 Å, b = 4.548 Å, c = 6.932 Å
α = 90.00°, β = 104.17°, γ = 90.00°
Space group C2/m (No. 12)
Unique sites:
Ac1 0.135 0.000 0.430 (multiplicity 4)
Te1 0.041 0.500 0.270 (multiplicity 4)
Te2 0.110 0.000 0.898 (multiplicity 4)
Te3 0.237 0.500 0.673 (multiplicity 4)
Au1 0.071 0.500 0.676 (multiplicity 4)
Au2 0.220 0.000 0.891 (multiplicity 4)